1.
For Mg6ZnCrO8, a DFT-relaxed cell (PBE+U, the Materials Project) gives the computed PXRD pattern in this record (Cu Kα (λ = 1.5418 Å)).
Neutral-atom scattering factors, no anomalous dispersion.

Largest 10 diffraction maxima, by angle, 10° ≤ 2θ ≤ 90°:
two_theta	d (Å)	I/Imax
20.5	4.325	21
20.8	4.262	10
29.4	3.036	18
36.1	2.485	40
41.8	2.163	100
42.4	2.131	48
60.5	1.529	29
61.0	1.518	55
72.6	1.302	13
76.7	1.242	26

Structure:
a b c (Å): 4.325 4.325 8.524
angles (deg): 90.00 90.00 90.00
Space group P4/mmm (No. 123)
Unique sites:
1 Mg 0.000 0.000 0.000 (multiplicity 1)
2 Mg 0.000 0.000 0.500 (multiplicity 1)
3 Mg 0.000 0.500 0.250 (multiplicity 4)
4 Zn 0.500 0.500 0.000 (multiplicity 1)
5 Cr 0.500 0.500 0.500 (multiplicity 1)
6 O 0.000 0.000 0.249 (multiplicity 2)
7 O 0.000 0.500 0.000 (multiplicity 2)
8 O 0.000 0.500 0.500 (multiplicity 2)
9 O 0.500 0.500 0.254 (multiplicity 2)



2.
For BaSrMnWO6, a DFT-relaxed cell (PBE+U, the Materials Project) gives the computed PXRD pattern in this record (Cu Kα (λ = 1.5418 Å)).
Neutral-atom scattering factors, no anomalous dispersion.

Largest 10 diffraction maxima, by angle, 10° ≤ 2θ ≤ 90°:
two_theta	d (Å)	I/Imax
18.6	4.769	24
30.6	2.920	100
36.1	2.490	12
43.8	2.065	31
54.4	1.686	40
58.0	1.590	5
63.7	1.460	19
72.4	1.306	18
80.6	1.192	6
88.6	1.104	22

Structure:
a b c (Å): 8.259 8.259 8.259
angles (deg): 90.00 90.00 90.00
Space group F-43m (No. 216)
Unique sites:
1 Ba 0.000 0.000 0.000 (multiplicity 4)
2 Sr 0.000 0.000 0.500 (multiplicity 4)
3 Mn 0.250 0.250 0.750 (multiplicity 4)
4 W 0.250 0.250 0.250 (multiplicity 4)
5 O 0.013 0.250 0.250 (multiplicity 24)



3.
For Li3Mn2FeB3O9, a DFT-relaxed cell (PBE+U, the Materials Project) gives the computed PXRD pattern in this record (Cu Kα (λ = 1.5418 Å)).
Neutral-atom scattering factors, no anomalous dispersion.

Largest 10 diffraction maxima, by angle, 10° ≤ 2θ ≤ 90°:
two_theta	d (Å)	I/Imax
21.5	4.132	100
30.8	2.901	17
33.1	2.705	17
35.7	2.517	81
37.7	2.385	32
43.8	2.066	15
47.7	1.907	28
52.9	1.731	25
54.5	1.683	18
58.1	1.587	11

Structure:
a b c (Å): 8.265 3.174 14.309
angles (deg): 90.00 90.12 90.00
Space group Pm (No. 6)
Unique sites:
1 Li 0.000 0.000 0.000 (multiplicity 1)
2 Li 0.026 0.000 0.706 (multiplicity 1)
3 Li 0.074 0.000 0.342 (multiplicity 1)
4 Li 0.501 0.000 0.500 (multiplicity 1)
5 Li 0.528 0.000 0.208 (multiplicity 1)
6 Li 0.574 0.000 0.840 (multiplicity 1)
7 Mn 0.193 0.500 0.163 (multiplicity 1)
8 Mn 0.232 0.500 0.855 (multiplicity 1)
9 Mn 0.676 0.500 0.029 (multiplicity 1)
10 Mn 0.693 0.500 0.663 (multiplicity 1)
11 Fe 0.179 0.500 0.529 (multiplicity 1)
12 Fe 0.730 0.500 0.354 (multiplicity 1)
13 B 0.366 0.000 0.681 (multiplicity 1)
14 B 0.367 0.000 0.016 (multiplicity 1)
15 B 0.367 0.500 0.350 (multiplicity 1)
16 B 0.866 0.000 0.184 (multiplicity 1)
17 B 0.867 0.500 0.849 (multiplicity 1)
18 B 0.869 0.000 0.515 (multiplicity 1)
19 O 0.002 0.500 0.791 (multiplicity 1)
20 O 0.016 0.000 0.141 (multiplicity 1)
21 O 0.023 0.000 0.476 (multiplicity 1)
22 O 0.214 0.500 0.309 (multiplicity 1)
23 O 0.226 0.000 0.627 (multiplicity 1)
24 O 0.228 0.000 0.961 (multiplicity 1)
25 O 0.354 0.000 0.113 (multiplicity 1)
26 O 0.355 0.000 0.778 (multiplicity 1)
27 O 0.381 0.500 0.447 (multiplicity 1)
28 O 0.505 0.500 0.295 (multiplicity 1)
29 O 0.517 0.000 0.639 (multiplicity 1)
30 O 0.519 0.000 0.974 (multiplicity 1)
31 O 0.712 0.500 0.810 (multiplicity 1)
32 O 0.727 0.000 0.129 (multiplicity 1)
33 O 0.731 0.000 0.458 (multiplicity 1)
34 O 0.852 0.000 0.612 (multiplicity 1)
35 O 0.855 0.000 0.281 (multiplicity 1)
36 O 0.886 0.500 0.946 (multiplicity 1)



4.
For Li9Mn2Co5O16, a DFT-relaxed cell (PBE+U, the Materials Project) gives the computed PXRD pattern in this record (Cu Kα (λ = 1.5418 Å)).
Neutral-atom scattering factors, no anomalous dispersion.

Largest 10 diffraction maxima, by angle, 10° ≤ 2θ ≤ 90°:
two_theta	d (Å)	I/Imax
18.3	4.836	100
34.3	2.614	20
36.1	2.490	13
36.9	2.433	10
37.1	2.421	8
41.2	2.193	34
43.8	2.065	27
45.1	2.009	24
61.5	1.508	9
61.9	1.498	8

Structure:
a b c (Å): 3.022 9.911 10.224
angles (deg): 73.53 82.53 87.09
Space group P1 (No. 1)
Unique sites:
1 Li 0.000 0.000 0.000 (multiplicity 1)
2 Li 0.060 0.309 0.872 (multiplicity 1)
3 Li 0.120 0.619 0.744 (multiplicity 1)
4 Li 0.243 0.248 0.498 (multiplicity 1)
5 Li 0.375 0.873 0.247 (multiplicity 1)
6 Li 0.497 0.490 0.995 (multiplicity 1)
7 Li 0.623 0.127 0.747 (multiplicity 1)
8 Li 0.744 0.747 0.497 (multiplicity 1)
9 Li 0.875 0.369 0.246 (multiplicity 1)
10 Mn 0.561 0.811 0.869 (multiplicity 1)
11 Mn 0.930 0.682 0.124 (multiplicity 1)
12 Co 0.190 0.936 0.619 (multiplicity 1)
13 Co 0.303 0.557 0.377 (multiplicity 1)
14 Co 0.440 0.191 0.113 (multiplicity 1)
15 Co 0.679 0.427 0.632 (multiplicity 1)
16 Co 0.813 0.058 0.370 (multiplicity 1)
17 O 0.122 0.962 0.801 (multiplicity 1)
18 O 0.135 0.290 0.680 (multiplicity 1)
19 O 0.247 0.580 0.556 (multiplicity 1)
20 O 0.284 0.912 0.439 (multiplicity 1)
21 O 0.342 0.207 0.298 (multiplicity 1)
22 O 0.367 0.532 0.195 (multiplicity 1)
23 O 0.498 0.833 0.054 (multiplicity 1)
24 O 0.515 0.153 0.955 (multiplicity 1)
25 O 0.606 0.466 0.789 (multiplicity 1)
26 O 0.625 0.791 0.684 (multiplicity 1)
27 O 0.751 0.082 0.552 (multiplicity 1)
28 O 0.779 0.410 0.447 (multiplicity 1)
29 O 0.836 0.708 0.307 (multiplicity 1)
30 O 0.872 0.038 0.189 (multiplicity 1)
31 O 0.986 0.327 0.064 (multiplicity 1)
32 O 0.995 0.658 0.938 (multiplicity 1)